Record 1
Starting from a PBE-relaxed structure, the powder diffractogram of MnCd2Cu2Au5 was computed for Cu Kα, 1.54184 Å.

The 8 most intense peaks (2θ = 5–70°), in order of rising 2θ:
two_theta  intensity
22.1  27
30.7  23
37.5  100
39.4  40
41.2  43
42.9  16
45.1  28
61.4  22

```
data_MnCd2Cu2Au5
_chemical_formula_sum 'Mn2 Cd4 Cu4 Au10'
_cell_length_a 9.435
_cell_length_b 9.435
_cell_length_c 4.022
_cell_angle_alpha 90.00
_cell_angle_beta 90.00
_cell_angle_gamma 90.00
_symmetry_space_group_name_H-M 'P 1'
_symmetry_Int_Tables_number 1
_symmetry_space_group_name_Hall 'P 1'
loop_
_atom_site_label
_atom_site_type_symbol
_atom_site_fract_x
_atom_site_fract_y
_atom_site_fract_z
Mn1 Mn 0.000 0.000 0.000
Mn2 Mn 0.500 0.500 0.000
Cd1 Cd 0.171 0.329 0.000
Cd2 Cd 0.329 0.829 0.000
Cd3 Cd 0.671 0.171 0.000
Cd4 Cd 0.829 0.671 0.000
Cu1 Cu 0.124 0.624 0.000
Cu2 Cu 0.376 0.124 0.000
Cu3 Cu 0.624 0.876 0.000
Cu4 Cu 0.876 0.376 0.000
Au1 Au 0.000 0.500 0.500
Au2 Au 0.084 0.806 0.500
Au3 Au 0.194 0.084 0.500
Au4 Au 0.306 0.584 0.500
Au5 Au 0.416 0.306 0.500
Au6 Au 0.500 0.000 0.500
Au7 Au 0.584 0.694 0.500
Au8 Au 0.694 0.416 0.500
Au9 Au 0.806 0.916 0.500
Au10 Au 0.916 0.194 0.500
```



Record 2
Starting from a PBE-relaxed structure, the powder diffractogram of Sm2Er6Th was computed for Cu Kα, 1.54184 Å.

The 8 most intense peaks (2θ = 5–70°), in order of rising 2θ:
two_theta  intensity
28.9  46
30.7  50
32.1  63
33.7  100
42.7  29
51.3  36
57.6  31
61.0  40

```
data_Sm2Er6Th
_chemical_formula_sum 'Sm2 Er6 Th1'
_cell_length_a 3.562
_cell_length_b 3.562
_cell_length_c 26.181
_cell_angle_alpha 90.00
_cell_angle_beta 90.00
_cell_angle_gamma 120.00
_symmetry_space_group_name_H-M 'P 1'
_symmetry_Int_Tables_number 1
_symmetry_space_group_name_Hall 'P 1'
loop_
_atom_site_label
_atom_site_type_symbol
_atom_site_fract_x
_atom_site_fract_y
_atom_site_fract_z
Sm1 Sm 0.000 0.000 0.172
Sm2 Sm 0.000 0.000 0.828
Er1 Er 0.000 0.000 0.390
Er2 Er 0.000 0.000 0.610
Er3 Er 0.667 0.333 0.064
Er4 Er 0.667 0.333 0.284
Er5 Er 0.667 0.333 0.716
Er6 Er 0.667 0.333 0.936
Th1 Th 0.667 0.333 0.500
```



Record 3
Starting from a PBE-relaxed structure, the powder diffractogram of Tb4In5Pt2 was computed for Cu Kα, 1.54184 Å.

The 8 most intense peaks (2θ = 5–70°), in order of rising 2θ:
two_theta  intensity
11.5  54
32.3  76
33.3  100
33.8  80
34.8  67
35.5  51
37.1  80
37.8  54

```
data_Tb4In5Pt2
_chemical_formula_sum 'Tb4 In5 Pt2'
_cell_length_a 7.743
_cell_length_b 3.656
_cell_length_c 9.735
_cell_angle_alpha 90.00
_cell_angle_beta 94.25
_cell_angle_gamma 90.00
_symmetry_space_group_name_H-M 'P 1'
_symmetry_Int_Tables_number 1
_symmetry_space_group_name_Hall 'P 1'
loop_
_atom_site_label
_atom_site_type_symbol
_atom_site_fract_x
_atom_site_fract_y
_atom_site_fract_z
Tb1 Tb 0.179 0.000 0.357
Tb2 Tb 0.222 0.000 0.940
Tb3 Tb 0.778 0.000 0.060
Tb4 Tb 0.821 0.000 0.643
In1 In 0.173 0.500 0.648
In2 In 0.455 0.500 0.178
In3 In 0.500 0.500 0.500
In4 In 0.545 0.500 0.822
In5 In 0.827 0.500 0.352
Pt1 Pt 0.075 0.500 0.140
Pt2 Pt 0.925 0.500 0.860
```



Record 4
Starting from a PBE-relaxed structure, the powder diffractogram of Cr2TcW was computed for Cu Kα, 1.54184 Å.

The 8 most intense peaks (2θ = 5–70°), in order of rising 2θ:
two_theta  intensity
20.9  25
21.1  59
36.1  22
41.9  51
42.2  100
42.5  99
43.0  47
61.7  31

```
data_Cr2TcW
_chemical_formula_sum 'Cr4 Tc2 W2'
_cell_length_a 5.249
_cell_length_b 8.408
_cell_length_c 2.642
_cell_angle_alpha 90.00
_cell_angle_beta 109.79
_cell_angle_gamma 90.00
_symmetry_space_group_name_H-M 'P 1'
_symmetry_Int_Tables_number 1
_symmetry_space_group_name_Hall 'P 1'
loop_
_atom_site_label
_atom_site_type_symbol
_atom_site_fract_x
_atom_site_fract_y
_atom_site_fract_z
Cr1 Cr 0.250 0.250 0.000
Cr2 Cr 0.250 0.750 0.000
Cr3 Cr 0.750 0.250 0.000
Cr4 Cr 0.750 0.750 0.000
Tc1 Tc 0.000 0.000 0.500
Tc2 Tc 0.500 0.500 0.500
W1 W 0.000 0.500 0.500
W2 W 0.500 0.000 0.500
```



Record 5
Starting from a PBE-relaxed structure, the powder diffractogram of AlTlSn2F8 was computed for Cu Kα, 1.54184 Å.

The 8 most intense peaks (2θ = 5–70°), in order of rising 2θ:
two_theta  intensity
23.3  100
24.8  93
27.1  55
28.9  53
29.4  48
30.3  39
33.7  27
47.7  27

```
data_AlTlSn2F8
_chemical_formula_sum 'Al1 Tl1 Sn2 F8'
_cell_length_a 5.139
_cell_length_b 5.372
_cell_length_c 7.688
_cell_angle_alpha 83.35
_cell_angle_beta 88.62
_cell_angle_gamma 86.41
_symmetry_space_group_name_H-M 'P 1'
_symmetry_Int_Tables_number 1
_symmetry_space_group_name_Hall 'P 1'
loop_
_atom_site_label
_atom_site_type_symbol
_atom_site_fract_x
_atom_site_fract_y
_atom_site_fract_z
Al1 Al 0.000 0.000 0.000
Tl1 Tl 0.000 0.000 0.500
Sn1 Sn 0.495 0.485 0.771
Sn2 Sn 0.505 0.515 0.229
F1 F 0.155 0.800 0.846
F2 F 0.218 0.251 0.923
F3 F 0.236 0.879 0.174
F4 F 0.298 0.373 0.560
F5 F 0.702 0.627 0.440
F6 F 0.764 0.121 0.826
F7 F 0.782 0.749 0.077
F8 F 0.845 0.200 0.154
```



Record 6
Starting from a PBE-relaxed structure, the powder diffractogram of CeSmBiSe was computed for Cu Kα, 1.54184 Å.

The 8 most intense peaks (2θ = 5–70°), in order of rising 2θ:
two_theta  intensity
11.4  17
25.3  71
30.9  100
36.4  70
42.3  58
53.3  22
57.0  19
65.0  33

```
data_CeSmBiSe
_chemical_formula_sum 'Ce3 Sm3 Bi3 Se3'
_cell_length_a 4.271
_cell_length_b 4.271
_cell_length_c 23.245
_cell_angle_alpha 90.00
_cell_angle_beta 90.00
_cell_angle_gamma 120.00
_symmetry_space_group_name_H-M 'P 1'
_symmetry_Int_Tables_number 1
_symmetry_space_group_name_Hall 'P 1'
loop_
_atom_site_label
_atom_site_type_symbol
_atom_site_fract_x
_atom_site_fract_y
_atom_site_fract_z
Ce1 Ce 0.000 0.000 0.000
Ce2 Ce 0.333 0.667 0.667
Ce3 Ce 0.667 0.333 0.333
Sm1 Sm 0.000 0.000 0.837
Sm2 Sm 0.333 0.667 0.504
Sm3 Sm 0.667 0.333 0.171
Bi1 Bi 0.000 0.000 0.419
Bi2 Bi 0.333 0.667 0.086
Bi3 Bi 0.667 0.333 0.752
Se1 Se 0.000 0.000 0.586
Se2 Se 0.333 0.667 0.253
Se3 Se 0.667 0.333 0.919
```



Record 7
Starting from a PBE-relaxed structure, the powder diffractogram of Tl8GaSe6 was computed for Cu Kα, 1.54184 Å.

The 8 most intense peaks (2θ = 5–70°), in order of rising 2θ:
two_theta  intensity
24.1  77
25.2  100
28.9  59
31.3  43
31.4  56
32.2  67
35.3  56
37.3  48

```
data_Tl8GaSe6
_chemical_formula_sum 'Tl16 Ga2 Se12'
_cell_length_a 8.964
_cell_length_b 9.636
_cell_length_c 11.446
_cell_angle_alpha 90.00
_cell_angle_beta 90.00
_cell_angle_gamma 90.00
_symmetry_space_group_name_H-M 'P 1'
_symmetry_Int_Tables_number 1
_symmetry_space_group_name_Hall 'P 1'
loop_
_atom_site_label
_atom_site_type_symbol
_atom_site_fract_x
_atom_site_fract_y
_atom_site_fract_z
Tl1 Tl 0.000 0.208 0.000
Tl2 Tl 0.000 0.227 0.417
Tl3 Tl 0.207 0.702 0.082
Tl4 Tl 0.221 0.565 0.796
Tl5 Tl 0.236 0.946 0.767
Tl6 Tl 0.264 0.054 0.267
Tl7 Tl 0.279 0.435 0.296
Tl8 Tl 0.293 0.298 0.582
Tl9 Tl 0.500 0.773 0.917
Tl10 Tl 0.500 0.792 0.500
Tl11 Tl 0.707 0.298 0.582
Tl12 Tl 0.721 0.435 0.296
Tl13 Tl 0.736 0.054 0.267
Tl14 Tl 0.764 0.946 0.767
Tl15 Tl 0.779 0.565 0.796
Tl16 Tl 0.793 0.702 0.082
Ga1 Ga 0.000 0.750 0.473
Ga2 Ga 0.500 0.250 0.973
Se1 Se 0.000 0.460 0.141
Se2 Se 0.000 0.537 0.590
Se3 Se 0.000 0.911 0.958
Se4 Se 0.000 0.973 0.580
Se5 Se 0.227 0.748 0.349
Se6 Se 0.273 0.252 0.849
Se7 Se 0.500 0.027 0.080
Se8 Se 0.500 0.089 0.458
Se9 Se 0.500 0.463 0.090
Se10 Se 0.500 0.540 0.641
Se11 Se 0.727 0.252 0.849
Se12 Se 0.773 0.748 0.349
```



Record 8
Starting from a PBE-relaxed structure, the powder diffractogram of Ca2TmPb3 was computed for Cu Kα, 1.54184 Å.

The 8 most intense peaks (2θ = 5–70°), in order of rising 2θ:
two_theta  intensity
22.3  22
31.5  28
32.0  28
32.8  100
45.5  21
56.9  21
57.5  20
68.8  11

```
data_Ca2TmPb3
_chemical_formula_sum 'Ca4 Tm2 Pb6'
_cell_length_a 8.862
_cell_length_b 8.862
_cell_length_c 7.488
_cell_angle_alpha 90.00
_cell_angle_beta 90.00
_cell_angle_gamma 142.57
_symmetry_space_group_name_H-M 'P 1'
_symmetry_Int_Tables_number 1
_symmetry_space_group_name_Hall 'P 1'
loop_
_atom_site_label
_atom_site_type_symbol
_atom_site_fract_x
_atom_site_fract_y
_atom_site_fract_z
Ca1 Ca 0.000 0.000 0.000
Ca2 Ca 0.000 0.000 0.500
Ca3 Ca 0.336 0.664 0.000
Ca4 Ca 0.664 0.336 0.000
Tm1 Tm 0.337 0.663 0.500
Tm2 Tm 0.663 0.337 0.500
Pb1 Pb 0.171 0.829 0.262
Pb2 Pb 0.171 0.829 0.738
Pb3 Pb 0.500 0.500 0.257
Pb4 Pb 0.500 0.500 0.743
Pb5 Pb 0.829 0.171 0.262
Pb6 Pb 0.829 0.171 0.738
```